Entry 1:
Diffraction record for ErSc2Ga2. The powder diffractogram is simulated, not measured: it uses a cell relaxed with GGA-PBE and Cu Kα (λ = 1.5418 Å).
Peak positions follow from Bragg's law for the DFT cell and can differ from measured ones.

Most intense lines, 2θ from 5° to 70°, in order of rising 2θ:
17.95 deg, rel. 42
32.84 deg, rel. 90
33.25 deg, rel. 100
34.55 deg, rel. 80
34.81 deg, rel. 66
39.28 deg, rel. 57

Cell and atoms:
```
ErSc2Ga2
1.0
5.184 0.000 0.000
0.000 3.614 0.000
-1.333 0.000 12.131
Er Sc Ga
2 4 4
direct
0.183 0.250 0.237
0.817 0.750 0.763
0.242 0.750 0.470
0.345 0.250 0.892
0.655 0.750 0.108
0.758 0.250 0.530
0.154 0.750 0.040
0.292 0.250 0.660
0.708 0.750 0.340
0.846 0.250 0.960
```

Entry 2:
Diffraction record for TbY8Sc3. The powder diffractogram is simulated, not measured: it uses a cell relaxed with GGA-PBE and Cu Kα (λ = 1.5418 Å).
Peak positions follow from Bragg's law for the DFT cell and can differ from measured ones.

Most intense lines, 2θ from 5° to 70°, in order of rising 2θ:
28.85 deg, rel. 16
32.35 deg, rel. 24
33.20 deg, rel. 100
43.91 deg, rel. 15
58.23 deg, rel. 19
61.93 deg, rel. 14

Cell and atoms:
```
TbY8Sc3
1.0
-5.367 5.535 3.083
5.367 -5.535 3.083
5.367 5.535 -3.083
Tb Y Sc
1 8 3
direct
0.000 0.000 0.000
0.014 0.352 0.339
0.014 0.675 0.661
0.422 0.005 0.089
0.422 0.333 0.417
0.509 0.344 0.836
0.509 0.673 0.164
0.916 0.005 0.583
0.916 0.333 0.911
0.424 0.676 0.748
0.501 0.001 0.500
0.929 0.676 0.252
```

Entry 3:
Diffraction record for Tb5Pr3Tm. The powder diffractogram is simulated, not measured: it uses a cell relaxed with GGA-PBE and Cu Kα (λ = 1.5418 Å).
Peak positions follow from Bragg's law for the DFT cell and can differ from measured ones.

Most intense lines, 2θ from 5° to 70°, in order of rising 2θ:
15.46 deg, rel. 51
28.98 deg, rel. 42
31.21 deg, rel. 93
31.69 deg, rel. 65
31.88 deg, rel. 100
34.33 deg, rel. 56

Cell and atoms:
```
Tb5Pr3Tm
1.0
7.691 -5.732 0.000
7.691 5.732 0.000
-6.478 0.000 7.651
Tb Pr Tm
10 6 2
direct
0.089 0.591 0.249
0.221 0.221 0.228
0.245 0.755 0.000
0.278 0.278 0.962
0.409 0.911 0.751
0.591 0.089 0.249
0.722 0.722 0.038
0.755 0.245 0.000
0.779 0.779 0.772
0.911 0.409 0.751
0.000 0.000 0.500
0.007 0.007 0.811
0.479 0.479 0.641
0.500 0.500 0.000
0.521 0.521 0.359
0.993 0.993 0.189
0.253 0.253 0.602
0.747 0.747 0.398
```

Entry 4:
Diffraction record for Sr2LiAg3. The powder diffractogram is simulated, not measured: it uses a cell relaxed with GGA-PBE and Cu Kα (λ = 1.5418 Å).
Peak positions follow from Bragg's law for the DFT cell and can differ from measured ones.

Most intense lines, 2θ from 5° to 70°, in order of rising 2θ:
21.44 deg, rel. 23
30.49 deg, rel. 100
37.53 deg, rel. 24
37.68 deg, rel. 40
43.60 deg, rel. 17
58.96 deg, rel. 20

Cell and atoms:
```
Sr2LiAg3
1.0
0.000 4.794 8.259
4.151 0.000 8.259
4.151 4.794 0.000
Sr Li Ag
4 2 6
direct
0.245 0.755 0.755
0.250 0.250 0.250
0.750 0.750 0.750
0.755 0.245 0.245
0.333 0.333 0.667
0.667 0.667 0.333
0.171 0.171 0.829
0.172 0.657 0.343
0.343 0.828 0.172
0.657 0.172 0.828
0.828 0.343 0.657
0.829 0.829 0.171
```

Entry 5:
Diffraction record for BC2. The powder diffractogram is simulated, not measured: it uses a cell relaxed with GGA-PBE and Cu Kα (λ = 1.5418 Å).
Peak positions follow from Bragg's law for the DFT cell and can differ from measured ones.

Most intense lines, 2θ from 5° to 70°, in order of rising 2θ:
23.65 deg, rel. 7
25.34 deg, rel. 10
28.45 deg, rel. 3
32.15 deg, rel. 7
41.80 deg, rel. 80
42.20 deg, rel. 100

Cell and atoms:
```
BC2
1.0
5.568 -1.852 0.000
5.568 1.852 0.000
-0.052 0.000 3.762
B C
4 8
direct
0.071 0.071 0.207
0.148 0.494 0.465
0.506 0.852 0.535
0.929 0.929 0.793
0.279 0.224 0.767
0.312 0.688 0.000
0.461 0.381 0.248
0.613 0.046 0.006
0.619 0.539 0.752
0.776 0.721 0.233
0.781 0.219 0.500
0.954 0.387 0.994
```

Entry 6:
Diffraction record for LiEuZn2. The powder diffractogram is simulated, not measured: it uses a cell relaxed with GGA-PBE and Cu Kα (λ = 1.5418 Å).
Peak positions follow from Bragg's law for the DFT cell and can differ from measured ones.

Most intense lines, 2θ from 5° to 70°, in order of rising 2θ:
21.85 deg, rel. 56
36.06 deg, rel. 100
42.56 deg, rel. 30
51.92 deg, rel. 17
56.98 deg, rel. 13
64.84 deg, rel. 35

Cell and atoms:
```
LiEuZn2
1.0
0.000 3.522 3.522
3.522 0.000 3.522
3.522 3.522 0.000
Li Eu Zn
1 1 2
direct
0.000 0.000 0.000
0.500 0.500 0.500
0.250 0.250 0.250
0.750 0.750 0.750
```

Entry 7:
Diffraction record for PuHfTh2. The powder diffractogram is simulated, not measured: it uses a cell relaxed with GGA-PBE and Cu Kα (λ = 1.5418 Å).
Peak positions follow from Bragg's law for the DFT cell and can differ from measured ones.

Most intense lines, 2θ from 5° to 70°, in order of rising 2θ:
32.04 deg, rel. 59
34.07 deg, rel. 100
45.94 deg, rel. 22
51.82 deg, rel. 8
58.41 deg, rel. 44
62.24 deg, rel. 18

Cell and atoms:
```
PuHfTh2
1.0
3.951 0.000 0.000
0.000 3.951 0.000
0.000 0.000 7.057
Pu Hf Th
1 1 2
direct
0.000 0.000 0.000
0.000 0.000 0.500
0.500 0.500 0.252
0.500 0.500 0.748
```

Entry 8:
Diffraction record for CaAl2Ga. The powder diffractogram is simulated, not measured: it uses a cell relaxed with GGA-PBE and Cu Kα (λ = 1.5418 Å).
Peak positions follow from Bragg's law for the DFT cell and can differ from measured ones.

Most intense lines, 2θ from 5° to 70°, in order of rising 2θ:
8.90 deg, rel. 85
30.31 deg, rel. 100
35.40 deg, rel. 71
40.98 deg, rel. 77
42.35 deg, rel. 54
43.39 deg, rel. 78

Cell and atoms:
```
CaAl2Ga
1.0
4.171 0.000 0.000
0.000 4.171 0.000
0.000 0.000 9.935
Ca Al Ga
2 4 2
direct
0.250 0.250 0.245
0.750 0.750 0.755
0.250 0.250 0.944
0.250 0.750 0.500
0.750 0.250 0.500
0.750 0.750 0.056
0.250 0.250 0.667
0.750 0.750 0.333
```